[1]
For Sm2Ga6Co9, a cell relaxed with GGA-PBE gives the calculated powder diffraction line list in this record (Cu Kα, 1.54184 Å).

Peak list (10 most intense, 5 to 70 degrees two-theta, low angle first)
7.63 deg, intensity 216; 25.15 deg, intensity 159; 30.57 deg, intensity 192; 34.73 deg, intensity 310; 40.32 deg, intensity 270; 42.08 deg, intensity 1000; 46.94 deg, intensity 194; 47.04 deg, intensity 236; 59.75 deg, intensity 173; 67.30 deg, intensity 237

Structure:
```
17
Lattice="5.166 0.000 0.000 -2.583 4.474 0.000 0.000 0.000 11.591" Properties=species:S:1:pos:R:3 pbc="T T T"
Sm 0.000 0.000 2.057
Sm 0.000 0.000 9.534
Ga 0.000 2.982 1.900
Ga 0.000 2.982 5.796
Ga 0.000 2.982 9.691
Ga 2.583 1.491 1.900
Ga 2.583 1.491 5.796
Ga 2.583 1.491 9.691
Co -1.291 2.237 0.000
Co -1.291 2.237 3.840
Co -1.291 2.237 7.751
Co 2.583 0.000 0.000
Co 2.583 0.000 3.840
Co 2.583 0.000 7.751
Co 1.291 2.237 0.000
Co 1.291 2.237 3.840
Co 1.291 2.237 7.751
```

=====

[2]
For Sm4Ga16Co3, a cell relaxed with GGA-PBE gives the calculated powder diffraction line list in this record (Cu Kα, 1.54184 Å).

Peak list (10 most intense, 5 to 70 degrees two-theta, low angle first)
20.66 deg, intensity 161; 30.47 deg, intensity 146; 31.67 deg, intensity 217; 33.52 deg, intensity 586; 38.12 deg, intensity 1000; 40.10 deg, intensity 304; 42.04 deg, intensity 739; 43.87 deg, intensity 186; 59.50 deg, intensity 356; 60.97 deg, intensity 229

Structure:
```
23
Lattice="6.079 0.000 0.000 0.000 6.079 0.000 0.000 0.000 11.244" Properties=species:S:1:pos:R:3 pbc="T T T"
Sm 0.000 3.039 2.201
Sm 0.000 3.039 9.043
Sm 3.039 0.000 2.201
Sm 3.039 0.000 9.043
Ga 0.000 0.000 2.180
Ga 0.000 0.000 9.064
Ga 1.336 1.336 0.000
Ga 1.336 4.742 0.000
Ga 1.525 1.525 4.345
Ga 1.525 1.525 6.900
Ga 1.525 4.553 4.345
Ga 1.525 4.553 6.900
Ga 3.039 3.039 2.456
Ga 3.039 3.039 8.788
Ga 4.553 1.525 4.345
Ga 4.553 1.525 6.900
Ga 4.553 4.553 4.345
Ga 4.553 4.553 6.900
Ga 4.742 1.336 0.000
Ga 4.742 4.742 0.000
Co 0.000 3.039 5.622
Co 3.039 0.000 5.622
Co 3.039 3.039 0.000
```

=====

[3]
For Sm4Ga3Co, a cell relaxed with GGA-PBE gives the calculated powder diffraction line list in this record (Cu Kα, 1.54184 Å).

Peak list (10 most intense, 5 to 70 degrees two-theta, low angle first)
26.83 deg, intensity 272; 30.88 deg, intensity 1000; 32.74 deg, intensity 477; 33.53 deg, intensity 180; 39.19 deg, intensity 409; 39.86 deg, intensity 219; 42.36 deg, intensity 242; 42.64 deg, intensity 233; 54.77 deg, intensity 213; 61.66 deg, intensity 157

Structure:
```
8
Lattice="4.241 0.000 0.000 0.000 4.268 0.000 0.000 0.000 10.691" Properties=species:S:1:pos:R:3 pbc="T T T"
Sm 0.000 0.000 0.000
Sm 0.000 2.134 5.006
Sm 2.121 0.000 7.423
Sm 2.121 2.134 2.136
Ga 0.000 2.134 8.201
Ga 2.121 0.000 4.287
Ga 2.121 2.134 9.777
Co 0.000 0.000 2.941
```

=====

[4]
For Sm8Ga3Co, a cell relaxed with GGA-PBE gives the calculated powder diffraction line list in this record (Cu Kα, 1.54184 Å).

Peak list (10 most intense, 5 to 70 degrees two-theta, low angle first)
23.66 deg, intensity 152; 29.43 deg, intensity 481; 30.83 deg, intensity 226; 32.46 deg, intensity 1000; 32.76 deg, intensity 199; 34.91 deg, intensity 924; 39.78 deg, intensity 193; 48.41 deg, intensity 169; 53.94 deg, intensity 181; 60.09 deg, intensity 274

Structure:
```
24
Lattice="10.281 0.000 0.000 -5.141 8.904 0.000 0.000 0.000 7.027" Properties=species:S:1:pos:R:3 pbc="T T T"
Sm 0.000 0.000 0.673
Sm 0.000 0.000 4.186
Sm -1.988 4.788 0.823
Sm 0.000 3.055 5.723
Sm -2.495 7.376 5.723
Sm 0.000 5.936 3.513
Sm 2.646 1.527 2.209
Sm 1.988 4.788 0.823
Sm 0.000 8.232 0.823
Sm 5.141 0.672 4.337
Sm 3.153 4.116 4.337
Sm 2.495 7.376 5.723
Sm 5.141 2.968 0.000
Sm 7.636 1.527 2.209
Sm 5.141 5.849 2.209
Sm 7.129 4.116 4.337
Ga 0.000 2.917 2.562
Ga -2.615 7.446 2.562
Ga 2.526 1.458 6.076
Ga 2.615 7.446 2.562
Ga 7.755 1.458 6.076
Ga 5.141 5.987 6.076
Co 0.000 5.936 6.195
Co 5.141 2.968 2.682
```